1.
The following is a calculated X-ray diffraction stick pattern of Rb2ZrU2Se6. It was derived from a structure optimized by DFT (PBE), using copper Kα.
Kinematic intensities with the Lorentz-polarization factor, no thermal factor.

Structure:
Lattice parameters (Å, degrees): 7.052 12.139 8.633 90.00 105.93 90.00
Space group C2/m (No. 12)
Symmetry-distinct sites (fractional):
Rb 0.000 0.168 0.000 [4 per cell]
Zr 0.000 0.000 0.500 [2 per cell]
U 0.000 0.333 0.500 [4 per cell]
Se 0.227 0.160 0.694 [8 per cell]
Se 0.243 0.500 0.693 [4 per cell]

Top 6 peaks for 2θ = 10–90°, most intense first:
| 2theta | I (rel.) | index |
| --- | --- | --- |
| 10.66 | 1000 | 0 0 1 |
| 29.22 | 901 | 1 3 1 |
| 38.63 | 485 | 2 0 2 |
| 29.08 | 455 | 2 0 -2 |
| 44.57 | 339 | 3 3 -1 |
| 35.96 | 206 | 1 3 2 |



2.
The following is a calculated X-ray diffraction stick pattern of Rb7VSe6. It was derived from a structure optimized by DFT (PBE), using copper Kα.
Kinematic intensities with the Lorentz-polarization factor, no thermal factor.

Structure:
Lattice parameters (Å, degrees): 8.805 15.328 17.980 90.00 90.00 90.00
Space group Ibam (No. 72)
Symmetry-distinct sites (fractional):
Rb 0.000 0.000 0.250 [4 per cell]
Rb 0.147 0.282 0.120 [16 per cell]
Rb 0.227 0.037 0.000 [8 per cell]
V 0.000 0.500 0.250 [4 per cell]
Se 0.078 0.166 0.500 [8 per cell]
Se 0.157 0.412 0.320 [16 per cell]

Top 6 peaks for 2θ = 10–90°, most intense first:
| 2theta | I (rel.) | index |
| --- | --- | --- |
| 22.94 | 1000 | 0 2 4 |
| 25.83 | 974 | 1 4 1 |
| 32.67 | 754 | 2 1 5 |
| 30.68 | 734 | 2 3 3 |
| 15.21 | 620 | 0 2 2 |
| 25.35 | 389 | 2 2 2 |